Structure and theoretical PXRD pattern of YTi2CdO6F (the PBE geometry in Alexandria; copper Kα).

Most intense lines, 2θ from 5° to 70°, sorted by position:
6.028 Å, 2θ = 14.70°, rel. 17.3, (0 1 1); 3.014 Å, 2θ = 29.64°, rel. 100.0, (0 2 2); 2.893 Å, 2θ = 30.91°, rel. 87.8, (2 0 2); 2.568 Å, 2θ = 34.94°, rel. 28.8, (2 2 0); 2.533 Å, 2θ = 35.44°, rel. 13.0, (0 0 4); 2.319 Å, 2θ = 38.83°, rel. 13.8, (2 1 3); 1.875 Å, 2θ = 48.56°, rel. 17.0, (0 4 0); 1.803 Å, 2θ = 50.61°, rel. 64.5, (2 2 4); 1.762 Å, 2θ = 51.88°, rel. 15.2, (4 0 0); 1.573 Å, 2θ = 58.67°, rel. 26.6, (2 4 2); 1.540 Å, 2θ = 60.09°, rel. 12.1, (0 2 6); 1.522 Å, 2θ = 60.87°, rel. 34.7, (2 0 6)

Structure:
a b c (Å): 7.0497 7.4997 10.1321
angles (deg): 90.00 90.00 90.00
Space group Imma (No. 74)
One atom of each set of equivalent atoms:
Y: 0.0000 0.0000 0.0000 (multiplicity 4)
Ti: 0.0000 0.0000 0.5000 (multiplicity 4)
Ti: 0.2500 0.2500 0.2500 (multiplicity 4)
Cd: 0.2500 0.2500 0.7500 (multiplicity 4)
O: 0.0000 0.2500 0.1671 (multiplicity 4)
O: 0.0000 0.2500 0.5907 (multiplicity 4)
O: 0.2081 0.0555 0.3794 (multiplicity 16)
F: 0.0000 0.2500 0.8878 (multiplicity 4)



Structure and theoretical PXRD pattern of AcMgPt2O8 (the PBE geometry in Alexandria; copper Kα).

Most intense lines, 2θ from 5° to 70°, sorted by position:
6.837 Å, 2θ = 12.95°, rel. 22.9, (0 0 1); 3.726 Å, 2θ = 23.88°, rel. 100.0, (1 0 1); 3.419 Å, 2θ = 26.07°, rel. 38.0, (0 0 2); 2.566 Å, 2θ = 34.97°, rel. 53.0, (1 1 0); 2.113 Å, 2θ = 42.79°, rel. 22.4, (2 0 1); 2.052 Å, 2θ = 44.13°, rel. 70.0, (2 -1 2); 2.028 Å, 2θ = 44.69°, rel. 19.9, (1 0 3); 1.631 Å, 2θ = 56.41°, rel. 20.6, (3 -1 1); 1.481 Å, 2θ = 62.72°, rel. 14.3, (3 0 0); 1.423 Å, 2θ = 65.63°, rel. 21.5, (1 1 4); 1.359 Å, 2θ = 69.11°, rel. 15.5, (3 0 2); 1.352 Å, 2θ = 69.52°, rel. 11.3, (2 1 3)

Structure:
a b c (Å): 5.1314 5.1314 6.8371
angles (deg): 90.00 90.00 120.00
Space group P-31m (No. 162)
One atom of each set of equivalent atoms:
Ac: 0.0000 0.0000 0.0000 (multiplicity 1)
Mg: 0.0000 0.0000 0.5000 (multiplicity 1)
Pt: 0.3333 0.6667 0.5000 (multiplicity 2)
O: 0.0000 0.3345 0.6625 (multiplicity 6)
O: 0.3333 0.6667 0.0000 (multiplicity 2)



Structure and theoretical PXRD pattern of Zn4S (the PBE geometry in Alexandria; copper Kα).

Most intense lines, 2θ from 5° to 70°, sorted by position:
4.763 Å, 2θ = 18.63°, rel. 6.1, (1 0 0); 3.368 Å, 2θ = 26.47°, rel. 4.8, (1 1 0); 2.750 Å, 2θ = 32.56°, rel. 100.0, (1 1 1); 2.381 Å, 2θ = 37.78°, rel. 79.1, (2 0 0); 2.130 Å, 2θ = 42.44°, rel. 2.3, (2 1 0); 1.944 Å, 2θ = 46.72°, rel. 1.7, (2 1 1); 1.684 Å, 2θ = 54.50°, rel. 51.9, (2 2 0); 1.588 Å, 2θ = 58.11°, rel. 1.0, (3 0 0); 1.506 Å, 2θ = 61.58°, rel. 0.7, (3 1 0); 1.436 Å, 2θ = 64.94°, rel. 38.0, (3 1 1); 1.375 Å, 2θ = 68.21°, rel. 16.8, (2 2 2)

Structure:
a b c (Å): 4.7625 4.7625 4.7625
angles (deg): 90.00 90.00 90.00
Space group Pm-3m (No. 221)
One atom of each set of equivalent atoms:
Zn: 0.0000 0.0000 0.0000 (multiplicity 1)
Zn: 0.0000 0.5000 0.5000 (multiplicity 3)
S: 0.5000 0.5000 0.5000 (multiplicity 1)



Structure and theoretical PXRD pattern of Nd6YHo (the PBE geometry in Alexandria; copper Kα).

Most intense lines, 2θ from 5° to 70°, sorted by position:
2.987 Å, 2θ = 29.91°, rel. 100.0, (2 2 0); 2.975 Å, 2θ = 30.03°, rel. 98.9, (0 2 4); 2.591 Å, 2θ = 34.63°, rel. 67.8, (2 0 4); 2.564 Å, 2θ = 34.99°, rel. 33.0, (0 4 0); 1.837 Å, 2θ = 49.62°, rel. 12.2, (4 0 0); 1.826 Å, 2θ = 49.94°, rel. 12.0, (0 0 8); 1.822 Å, 2θ = 50.05°, rel. 47.7, (2 4 4); 1.563 Å, 2θ = 59.10°, rel. 29.1, (4 2 4); 1.558 Å, 2θ = 59.31°, rel. 28.6, (2 2 8); 1.549 Å, 2θ = 59.69°, rel. 28.1, (2 6 0); 1.493 Å, 2θ = 62.15°, rel. 12.4, (4 4 0); 1.488 Å, 2θ = 62.43°, rel. 12.2, (0 4 8)

Structure:
a b c (Å): 7.3489 10.2575 14.6110
angles (deg): 90.00 90.00 90.00
Space group Fmmm (No. 69)
One atom of each set of equivalent atoms:
Nd: 0.0000 0.0000 0.2491 (multiplicity 8)
Nd: 0.2500 0.2500 0.1237 (multiplicity 16)
Y: 0.0000 0.0000 0.5000 (multiplicity 4)
Ho: 0.0000 0.0000 0.0000 (multiplicity 4)